Starting from a DFT-relaxed cell (GGA-PBE, Alexandria), the powder diffractogram of RbU2F9 was calculated for λ = 1.5418 Å (Cu Kα).

Structural model:
Lattice parameters (Å, degrees): 8.7989 11.7918 7.1042 90.00 90.00 90.00
Space group Pnma (No. 62)
Unique sites:
Rb: 0.0345 0.2500 0.1380
U: 0.1769 0.0515 0.6477
F: 0.0064 0.5965 0.5695
F: 0.0676 0.5767 0.1939
F: 0.1745 0.2500 0.6577
F: 0.2115 0.0921 0.9653
F: 0.2196 0.6042 0.8468

The 10 most intense peaks (2θ = 10–80°), in order of rising 2θ:
hkl 0 2 0, 2θ = 15.0°, I 100; hkl 2 0 1, 2θ = 23.8°, I 48; hkl 2 2 0, 2θ = 25.3°, I 47; hkl 0 3 1, 2θ = 25.9°, I 68; hkl 1 0 2, 2θ = 27.1°, I 73; hkl 2 2 1, 2θ = 28.3°, I 49; hkl 1 2 2, 2θ = 31.1°, I 50; hkl 1 3 3, 2θ = 45.9°, I 52; hkl 3 3 2, 2θ = 46.3°, I 48; hkl 4 3 0, 2θ = 47.4°, I 39